Calculated powder X-ray diffraction pattern
Compound: MgSi2Sn2
Radiation: a wavelength of 1.5418 Å
Structure: a structure optimized by DFT (PBE)
Intensities are scaled so that the largest is 100.

Crystal structure
```
data_MgSi2Sn2
_chemical_formula_sum 'Mg2 Si4 Sn4'
_space_group_name_H-M_alt 'P 1'
_space_group_IT_number 1
_cell_length_a 5.3321
_cell_length_b 6.4348
_cell_length_c 6.7442
_cell_angle_alpha 80.78
_cell_angle_beta 86.52
_cell_angle_gamma 87.67
loop_
_space_group_symop_operation_xyz
'x,y,z'
loop_
_atom_site_label
_atom_site_fract_x
_atom_site_fract_y
_atom_site_fract_z
Mg1 0.0000 0.0000 0.0000
Mg2 0.0358 0.5296 0.8097
Si1 0.1383 0.1915 0.6199
Si2 0.1665 0.8079 0.3574
Si3 0.4800 0.0510 0.4339
Si4 0.8477 0.9104 0.5960
Sn1 0.5132 0.7671 0.9382
Sn2 0.5281 0.2620 0.0466
Sn3 0.5331 0.5302 0.5362
Sn4 0.9956 0.4270 0.2652
```

Most intense lines, 2θ from 15° to 90°, low angle first:
2θ (°), Rel. int., index
16.67, 40, 1 0 0
20.82, 62, 0 1 -1
30.93, 51, 1 0 2
31.97, 42, 1 1 2
32.54, 67, 1 0 -2
32.96, 100, 1 2 1
33.14, 56, 0 2 -1
33.70, 79, 2 0 0
33.99, 39, -1 1 2
34.63, 66, -1 2 1

=====

Calculated powder X-ray diffraction pattern
Compound: Sr11Mg2Si10
Radiation: a wavelength of 1.5418 Å
Structure: a structure optimized by DFT (PBE)
Intensities are scaled so that the largest is 100.

Crystal structure
```
data_Sr11Mg2Si10
_chemical_formula_sum 'Sr22 Mg4 Si20'
_space_group_name_H-M_alt 'C 1 2/m 1'
_space_group_IT_number 12
_cell_length_a 19.7265
_cell_length_b 4.7654
_cell_length_c 14.8883
_cell_angle_alpha 90.00
_cell_angle_beta 112.16
_cell_angle_gamma 90.00
loop_
_space_group_symop_operation_xyz
'x,y,z'
'-x,-y,-z'
'-x,y,-z'
'x,-y,z'
'x+1/2,y+1/2,z'
'-x+1/2,-y+1/2,-z'
'-x+1/2,y+1/2,-z'
'x+1/2,-y+1/2,z'
loop_
_atom_site_label
_atom_site_fract_x
_atom_site_fract_y
_atom_site_fract_z
Sr1 0.0000 0.0000 0.0000
Sr2 0.0171 0.5000 0.8035
Sr3 0.0716 0.0000 0.4418
Sr4 0.1439 0.0000 0.7170
Sr5 0.1574 0.5000 0.1042
Sr6 0.2061 0.5000 0.3780
Mg1 0.2196 0.5000 0.9167
Si1 0.0456 0.5000 0.5838
Si2 0.1111 0.0000 0.2368
Si3 0.1426 0.0000 0.9300
Si4 0.1693 0.5000 0.5794
Si5 0.2398 0.0000 0.2531
```

Most intense lines, 2θ from 15° to 90°, low angle first:
2θ (°), Rel. int., index
24.75, 15, 2 0 3
26.95, 13, 3 1 -3
29.52, 39, 5 1 -1
29.63, 53, 3 1 2
30.88, 100, 4 0 -5
33.92, 32, 1 1 4
37.66, 14, 7 1 -3
37.76, 36, 0 2 0
49.58, 20, 4 2 -5
55.25, 13, 11 1 -2

=====

Calculated powder X-ray diffraction pattern
Compound: TbMgSi2
Radiation: a wavelength of 1.5418 Å
Structure: a structure optimized by DFT (PBE)
Intensities are scaled so that the largest is 100.

Crystal structure
```
data_TbMgSi2
_chemical_formula_sum 'Tb3 Mg3 Si6'
_space_group_name_H-M_alt 'R -3 m'
_space_group_IT_number 166
_space_group_name_Hall '-R 3 2"'
_cell_length_a 4.4075
_cell_length_b 4.4075
_cell_length_c 14.5409
_cell_angle_alpha 90.00
_cell_angle_beta 90.00
_cell_angle_gamma 120.00
loop_
_atom_site_label
_atom_site_fract_x
_atom_site_fract_y
_atom_site_fract_z
Tb1 0.0000 0.0000 0.0000
Mg1 0.0000 0.0000 0.5000
Si1 0.0000 0.0000 0.2237
```

Most intense lines, 2θ from 15° to 90°, low angle first:
2θ (°), Rel. int., index
18.30, 30, 0 0 3
24.11, 92, 1 0 1
26.37, 60, 0 1 2
34.06, 100, 1 0 4
38.93, 40, 0 1 5
40.95, 66, 1 1 0
45.20, 19, 1 1 3
54.29, 26, 0 2 4
56.44, 21, 1 1 6
70.19, 24, 2 1 4

=====

Calculated powder X-ray diffraction pattern
Compound: Tb2MgSi2
Radiation: a wavelength of 1.5418 Å
Structure: a structure optimized by DFT (PBE)
Intensities are scaled so that the largest is 100.

Crystal structure
```
data_Tb2MgSi2
_chemical_formula_sum 'Tb4 Mg2 Si4'
_space_group_name_H-M_alt 'P 4/m b m'
_space_group_IT_number 127
_space_group_name_Hall '-P 4 2ab'
_cell_length_a 7.2009
_cell_length_b 7.2009
_cell_length_c 4.2299
_cell_angle_alpha 90.00
_cell_angle_beta 90.00
_cell_angle_gamma 90.00
loop_
_atom_site_label
_atom_site_fract_x
_atom_site_fract_y
_atom_site_fract_z
Tb1 0.1786 0.3214 0.0000
Mg1 0.0000 0.0000 0.5000
Si1 0.1177 0.6177 0.5000
```

Most intense lines, 2θ from 15° to 90°, low angle first:
2θ (°), Rel. int., index
21.00, 35, 0 0 1
24.73, 25, 2 0 0
27.70, 45, 2 1 0
32.66, 46, 2 0 1
35.02, 100, 2 1 1
39.58, 18, 3 1 0
42.75, 17, 0 0 2
51.71, 17, 2 1 2
52.39, 19, 4 1 0
57.05, 27, 4 1 1

=====

Calculated powder X-ray diffraction pattern
Compound: Mg2Si4Tc3
Radiation: a wavelength of 1.5418 Å
Structure: a structure optimized by DFT (PBE)
Intensities are scaled so that the largest is 100.

Crystal structure
```
data_Mg2Si4Tc3
_chemical_formula_sum 'Mg4 Si8 Tc6'
_space_group_name_H-M_alt 'P 1 21/c 1'
_space_group_IT_number 14
_cell_length_a 6.6606
_cell_length_b 6.7021
_cell_length_c 6.3358
_cell_angle_alpha 90.00
_cell_angle_beta 108.83
_cell_angle_gamma 90.00
loop_
_space_group_symop_operation_xyz
'x,y,z'
'-x,-y,-z'
'-x,y+1/2,-z+1/2'
'x,-y+1/2,z+1/2'
loop_
_atom_site_label
_atom_site_fract_x
_atom_site_fract_y
_atom_site_fract_z
Mg1 0.1783 0.1625 0.0429
Si1 0.0983 0.5350 0.8713
Si2 0.4976 0.1389 0.8626
Tc1 0.2318 0.6620 0.2571
Tc2 0.5000 0.0000 0.5000
```

Most intense lines, 2θ from 15° to 90°, low angle first:
2θ (°), Rel. int., index
19.33, 100, 1 1 0
19.87, 36, 0 1 1
27.09, 40, 1 1 1
30.55, 42, 0 2 1
33.97, 31, 2 0 -2
38.55, 69, 2 2 -1
39.24, 37, 2 2 0
39.57, 59, 1 1 2
44.01, 51, 1 3 -1
45.01, 56, 1 1 -3

=====

Calculated powder X-ray diffraction pattern
Compound: Mg4SiTe6
Radiation: a wavelength of 1.5418 Å
Structure: a structure optimized by DFT (PBE)
Intensities are scaled so that the largest is 100.

Crystal structure
```
data_Mg4SiTe6
_chemical_formula_sum 'Mg16 Si4 Te24'
_space_group_name_H-M_alt 'C 1 c 1'
_space_group_IT_number 9
_cell_length_a 13.8881
_cell_length_b 7.9584
_cell_length_c 13.8953
_cell_angle_alpha 90.00
_cell_angle_beta 110.08
_cell_angle_gamma 90.00
loop_
_space_group_symop_operation_xyz
'x,y,z'
'x,-y,z+1/2'
'x+1/2,y+1/2,z'
'x+1/2,-y+1/2,z+1/2'
loop_
_atom_site_label
_atom_site_fract_x
_atom_site_fract_y
_atom_site_fract_z
Mg1 0.0000 0.0799 0.0000
Mg2 0.1343 0.3077 0.3467
Mg3 0.3219 0.3939 0.6937
Mg4 0.3478 0.1096 0.0092
Si1 0.0707 0.2248 0.7564
Te1 0.1161 0.4806 0.6734
Te2 0.1416 0.0346 0.2046
Te3 0.1479 0.2744 0.9465
Te4 0.3237 0.2448 0.5083
Te5 0.3791 0.2584 0.2049
Te6 0.4507 0.2732 0.8878
```

Most intense lines, 2θ from 15° to 90°, low angle first:
2θ (°), Rel. int., index
22.21, 30, 3 1 -1
22.34, 18, 0 2 0
26.01, 54, 4 0 -2
26.23, 100, 1 1 3
27.34, 76, 0 0 4
39.13, 23, 5 1 1
41.24, 21, 6 0 -4
41.53, 20, 3 3 -3
41.68, 30, 3 3 1
45.32, 39, 6 2 -2

=====

Calculated powder X-ray diffraction pattern
Compound: Mg2Si2Te
Radiation: a wavelength of 1.5418 Å
Structure: a structure optimized by DFT (PBE)
Intensities are scaled so that the largest is 100.

Crystal structure
```
data_Mg2Si2Te
_chemical_formula_sum 'Mg4 Si4 Te2'
_space_group_name_H-M_alt 'P 4/m b m'
_space_group_IT_number 127
_space_group_name_Hall '-P 4 2ab'
_cell_length_a 8.0250
_cell_length_b 8.0250
_cell_length_c 3.2627
_cell_angle_alpha 90.00
_cell_angle_beta 90.00
_cell_angle_gamma 90.00
loop_
_atom_site_label
_atom_site_fract_x
_atom_site_fract_y
_atom_site_fract_z
Mg1 0.1921 0.3079 0.0000
Si1 0.1040 0.6040 0.5000
Te1 0.0000 0.0000 0.5000
```

Most intense lines, 2θ from 15° to 90°, low angle first:
2θ (°), Rel. int., index
15.62, 40, 1 1 0
22.15, 30, 2 0 0
27.33, 15, 0 0 1
31.53, 30, 2 2 0
31.63, 21, 1 1 1
35.42, 100, 2 0 1
37.24, 13, 2 1 1
45.26, 31, 3 1 1
58.69, 20, 5 1 0
65.88, 24, 5 1 1

=====

Calculated powder X-ray diffraction pattern
Compound: Mg6TiSi
Radiation: a wavelength of 1.5418 Å
Structure: a structure optimized by DFT (PBE)
Intensities are scaled so that the largest is 100.

Crystal structure
```
data_Mg6TiSi
_chemical_formula_sum 'Mg12 Ti2 Si2'
_space_group_name_H-M_alt 'A m m 2'
_space_group_IT_number 38
_cell_length_a 4.9358
_cell_length_b 5.8933
_cell_length_c 10.9907
_cell_angle_alpha 90.00
_cell_angle_beta 90.00
_cell_angle_gamma 90.00
loop_
_space_group_symop_operation_xyz
'x,y,z'
'-x,-y,z'
'-x,y,z'
'x,-y,z'
'x,y+1/2,z+1/2'
'-x,-y+1/2,z+1/2'
'-x,y+1/2,z+1/2'
'x,-y+1/2,z+1/2'
loop_
_atom_site_label
_atom_site_fract_x
_atom_site_fract_y
_atom_site_fract_z
Mg1 0.0000 0.0000 0.0000
Mg2 0.0000 0.0000 0.4942
Mg3 0.0000 0.2457 0.7526
Mg4 0.5000 0.2495 0.0944
Ti1 0.5000 0.0000 0.8467
Si1 0.5000 0.0000 0.3401
```

Most intense lines, 2θ from 15° to 90°, low angle first:
2θ (°), Rel. int., index
34.54, 33, 0 2 2
36.41, 45, 2 0 0
37.46, 71, 1 0 4
39.20, 100, 1 2 2
51.05, 21, 2 2 2
59.41, 19, 0 2 6
66.21, 12, 3 0 4
67.38, 18, 3 2 2
71.72, 21, 2 2 6
75.75, 16, 1 4 4

=====

Calculated powder X-ray diffraction pattern
Compound: MgTlSi2
Radiation: a wavelength of 1.5418 Å
Structure: a structure optimized by DFT (PBE)
Intensities are scaled so that the largest is 100.

Crystal structure
```
data_MgTlSi2
_chemical_formula_sum 'Mg2 Tl2 Si4'
_space_group_name_H-M_alt 'C 1 m 1'
_space_group_IT_number 8
_cell_length_a 8.8664
_cell_length_b 3.7253
_cell_length_c 6.2783
_cell_angle_alpha 90.00
_cell_angle_beta 114.90
_cell_angle_gamma 90.00
loop_
_space_group_symop_operation_xyz
'x,y,z'
'x,-y,z'
'x+1/2,y+1/2,z'
'x+1/2,-y+1/2,z'
loop_
_atom_site_label
_atom_site_fract_x
_atom_site_fract_y
_atom_site_fract_z
Mg1 0.0000 0.0000 0.0000
Tl1 0.1252 0.0000 0.6261
Si1 0.2520 0.5000 0.1285
Si2 0.3322 0.0000 0.3889
```

Most intense lines, 2θ from 15° to 90°, low angle first:
2θ (°), Rel. int., index
15.56, 92, 0 0 1
21.01, 57, 2 0 -1
22.11, 55, 2 0 0
26.37, 100, 1 1 0
28.22, 57, 1 1 -1
29.85, 54, 2 0 -2
32.21, 39, 2 0 1
33.13, 84, 1 1 1
38.93, 34, 3 1 -1
42.81, 54, 3 1 -2

=====

Calculated powder X-ray diffraction pattern
Compound: Mg14VSi
Radiation: a wavelength of 1.5418 Å
Structure: a structure optimized by DFT (PBE)
Intensities are scaled so that the largest is 100.

Crystal structure
```
data_Mg14VSi
_chemical_formula_sum 'Mg14 V1 Si1'
_space_group_name_H-M_alt 'P -6 m 2'
_space_group_IT_number 187
_space_group_name_Hall 'P -6 2'
_cell_length_a 6.2912
_cell_length_b 6.2912
_cell_length_c 9.9974
_cell_angle_alpha 90.00
_cell_angle_beta 90.00
_cell_angle_gamma 120.00
loop_
_atom_site_label
_atom_site_fract_x
_atom_site_fract_y
_atom_site_fract_z
Mg1 0.0000 0.0000 0.2505
Mg2 0.0107 0.5054 0.2470
Mg3 0.3289 0.1645 0.0000
Mg4 0.3360 0.1680 0.5000
V1 0.3333 0.6667 0.5000
Si1 0.3333 0.6667 0.0000
```

Most intense lines, 2θ from 15° to 90°, low angle first:
2θ (°), Rel. int., index
16.27, 4, 1 0 0
32.88, 25, 2 0 0
35.93, 25, 0 0 4
37.60, 100, 2 0 2
49.49, 15, 2 0 4
58.70, 17, 2 2 0
65.69, 18, 2 0 6
70.78, 19, 2 2 4
71.83, 13, 4 0 2
80.27, 3, 4 0 4

=====

Calculated powder X-ray diffraction pattern
Compound: Mg14VSi
Radiation: a wavelength of 1.5418 Å
Structure: a structure optimized by DFT (PBE)
Intensities are scaled so that the largest is 100.

Crystal structure
```
data_Mg14VSi
_chemical_formula_sum 'Mg28 V2 Si2'
_space_group_name_H-M_alt 'A m m 2'
_space_group_IT_number 38
_cell_length_a 10.1628
_cell_length_b 6.1783
_cell_length_c 10.8905
_cell_angle_alpha 90.00
_cell_angle_beta 90.00
_cell_angle_gamma 90.00
loop_
_space_group_symop_operation_xyz
'x,y,z'
'-x,-y,z'
'-x,y,z'
'x,-y,z'
'x,y+1/2,z+1/2'
'-x,-y+1/2,z+1/2'
'-x,y+1/2,z+1/2'
'x,-y+1/2,z+1/2'
loop_
_atom_site_label
_atom_site_fract_x
_atom_site_fract_y
_atom_site_fract_z
Mg1 0.0000 0.0000 0.0000
Mg2 0.0000 0.0000 0.4993
Mg3 0.0000 0.2496 0.2514
Mg4 0.2536 0.0000 0.6629
Mg5 0.2552 0.0000 0.1644
Mg6 0.2646 0.2494 0.4182
Mg7 0.5000 0.2484 0.7455
V1 0.5000 0.0000 0.5011
Si1 0.5000 0.0000 0.0028
```

Most intense lines, 2θ from 15° to 90°, low angle first:
2θ (°), Rel. int., index
32.90, 12, 0 0 4
33.35, 25, 0 2 2
35.33, 40, 4 0 0
37.48, 52, 2 0 4
37.88, 100, 2 2 2
49.37, 15, 4 2 2
59.03, 17, 0 2 6
65.10, 17, 6 2 2
70.70, 19, 4 2 6
72.82, 13, 2 4 4

=====

Calculated powder X-ray diffraction pattern
Compound: MgSiW2
Radiation: a wavelength of 1.5418 Å
Structure: a structure optimized by DFT (PBE)
Intensities are scaled so that the largest is 100.

Crystal structure
```
data_MgSiW2
_chemical_formula_sum 'Mg2 Si2 W4'
_space_group_name_H-M_alt 'C 1 m 1'
_space_group_IT_number 8
_cell_length_a 9.2107
_cell_length_b 2.7843
_cell_length_c 4.9307
_cell_angle_alpha 90.00
_cell_angle_beta 98.92
_cell_angle_gamma 90.00
loop_
_space_group_symop_operation_xyz
'x,y,z'
'x,-y,z'
'x+1/2,y+1/2,z'
'x+1/2,-y+1/2,z'
loop_
_atom_site_label
_atom_site_fract_x
_atom_site_fract_y
_atom_site_fract_z
Mg1 0.0000 0.0000 0.0000
Si1 0.2496 0.5000 0.2491
W1 0.2420 0.0000 0.7461
W2 0.4863 0.0000 0.4874
```

Most intense lines, 2θ from 15° to 90°, low angle first:
2θ (°), Rel. int., index
18.21, 86, 0 0 1
24.62, 45, 2 0 -1
28.85, 36, 2 0 1
33.66, 43, 1 1 0
39.15, 51, 2 0 -2
39.29, 100, 1 1 1
39.62, 48, 4 0 0
44.85, 34, 2 0 2
46.19, 63, 3 1 -1
80.68, 25, 2 2 -2

=====

Calculated powder X-ray diffraction pattern
Compound: Mg2SiW
Radiation: a wavelength of 1.5418 Å
Structure: a structure optimized by DFT (PBE)
Intensities are scaled so that the largest is 100.

Crystal structure
```
data_Mg2SiW
_chemical_formula_sum 'Mg4 Si2 W2'
_space_group_name_H-M_alt 'C 1 m 1'
_space_group_IT_number 8
_cell_length_a 9.3551
_cell_length_b 2.7553
_cell_length_c 5.2600
_cell_angle_alpha 90.00
_cell_angle_beta 96.33
_cell_angle_gamma 90.00
loop_
_space_group_symop_operation_xyz
'x,y,z'
'x,-y,z'
'x+1/2,y+1/2,z'
'x+1/2,-y+1/2,z'
loop_
_atom_site_label
_atom_site_fract_x
_atom_site_fract_y
_atom_site_fract_z
Mg1 0.0000 0.0000 0.0000
Mg2 0.2390 0.0000 0.7507
Si1 0.4902 0.0000 0.4663
W1 0.2514 0.5000 0.2682
```

Most intense lines, 2θ from 15° to 90°, low angle first:
2θ (°), Rel. int., index
16.96, 100, 0 0 1
19.09, 66, 2 0 0
24.17, 39, 2 0 -1
27.04, 27, 2 0 1
33.93, 33, 1 1 0
37.61, 61, 2 0 -2
38.69, 100, 4 0 0
41.46, 26, 2 0 2
43.97, 18, 3 1 0
46.18, 41, 3 1 -1